(1)
Structure and calculated powder XRD pattern of YTm2Cu4Ge4 (a structure optimized by DFT (PBE); λ = 1.5418 Å (Cu Kα)).
Peak positions follow from Bragg's law for the DFT cell and can differ from measured ones.

```
YTm2Cu4Ge4
1.0
-2.0801 3.3237 6.9148
2.0801 -3.3237 6.9148
2.0801 3.3237 -6.9148
Y Tm Cu Ge
1 2 4 4
direct
0.0000 0.0000 0.0000
0.3707 0.8707 0.5000
0.6293 0.1293 0.5000
0.0212 0.3300 0.6912
0.3612 0.6700 0.6912
0.6388 0.3300 0.3088
0.9788 0.6700 0.3088
0.2172 0.2172 0.0000
0.3088 0.5000 0.8088
0.6912 0.5000 0.1912
0.7828 0.7828 0.0000
```

Peak list (10 most intense, 10° ≤ 2θ ≤ 90°, in order of rising 2θ)
two_theta  I/Imax
14.79  13
35.16  100
36.39  87
39.09  20
39.84  21
43.51  34
45.41  24
48.05  15
64.70  22
80.83  13

***

(2)
Structure and calculated powder XRD pattern of Fe2PtI4Br4 (a structure optimized by DFT (PBE); λ = 1.5418 Å (Cu Kα)).
Peak positions follow from Bragg's law for the DFT cell and can differ from measured ones.

```
Fe2PtI4Br4
1.0
6.0087 -5.0961 0.0000
6.0087 5.0961 0.0000
-0.3502 0.0000 7.1943
Fe Pt I Br
2 1 4 4
direct
0.2217 0.2217 0.3378
0.7783 0.7783 0.6622
0.0000 0.0000 0.0000
0.0958 0.7196 0.7931
0.2804 0.9042 0.2069
0.7196 0.0958 0.7931
0.9042 0.2804 0.2069
0.2289 0.2289 0.6587
0.3931 0.3931 0.2088
0.6069 0.6069 0.7912
0.7711 0.7711 0.3413
```

Peak list (10 most intense, 10° ≤ 2θ ≤ 90°, in order of rising 2θ)
two_theta  I/Imax
11.39  47
16.53  35
18.79  54
24.75  15
26.43  100
34.51  20
34.68  15
36.91  14
37.43  24
46.31  21

***

(3)
Structure and calculated powder XRD pattern of Tl6HgSe4 (a structure optimized by DFT (PBE); λ = 1.5418 Å (Cu Kα)).
Peak positions follow from Bragg's law for the DFT cell and can differ from measured ones.

```
Tl6HgSe4
1.0
10.5496 0.0000 0.0000
-5.2748 9.1362 0.0000
0.0000 0.0000 7.4675
Tl Hg Se
12 2 8
direct
0.0604 0.5302 0.0000
0.1543 0.3085 0.3241
0.1543 0.8457 0.3241
0.3085 0.1543 0.8241
0.4698 0.5302 0.0000
0.4698 0.9396 0.0000
0.5302 0.0604 0.5000
0.5302 0.4698 0.5000
0.6915 0.8457 0.3241
0.8457 0.1543 0.8241
0.8457 0.6915 0.8241
0.9396 0.4698 0.5000
0.3333 0.6667 0.6354
0.6667 0.3333 0.1354
0.1895 0.3791 0.7368
0.1895 0.8105 0.7368
0.3333 0.6667 0.2562
0.3791 0.1895 0.2368
0.6209 0.8105 0.7368
0.6667 0.3333 0.7562
0.8105 0.1895 0.2368
0.8105 0.6209 0.2368
```

Peak list (10 most intense, 10° ≤ 2θ ≤ 90°, in order of rising 2θ)
two_theta  I/Imax
22.82  34
25.78  32
28.48  82
29.31  23
30.93  99
31.73  24
33.99  100
47.17  23
51.48  33
57.48  27

***

(4)
Structure and calculated powder XRD pattern of Ag2SnGeS4 (a structure optimized by DFT (PBE); λ = 1.5418 Å (Cu Kα)).
Peak positions follow from Bragg's law for the DFT cell and can differ from measured ones.

```
Ag2SnGeS4
1.0
10.1170 0.0000 0.0000
0.0000 5.2101 3.5412
0.0000 -5.2101 3.5412
Ag Sn Ge S
4 2 2 8
direct
0.0925 0.1217 0.8783
0.4075 0.1217 0.8783
0.5925 0.8783 0.1217
0.9075 0.8783 0.1217
0.0000 0.5156 0.5156
0.5000 0.5156 0.5156
0.2500 0.8885 0.2784
0.7500 0.2784 0.8885
0.0632 0.0725 0.4487
0.2500 0.5432 0.3027
0.2500 0.8336 0.9069
0.4368 0.0725 0.4487
0.5632 0.4487 0.0725
0.7500 0.3027 0.5432
0.7500 0.9069 0.8336
0.9368 0.4487 0.0725
```

Peak list (10 most intense, 10° ≤ 2θ ≤ 90°, in order of rising 2θ)
two_theta  I/Imax
17.52  27
25.15  61
28.62  80
30.58  100
31.60  27
31.81  27
35.42  45
38.78  31
40.81  46
48.99  30

***

(5)
Structure and calculated powder XRD pattern of TmUHg (a structure optimized by DFT (PBE); λ = 1.5418 Å (Cu Kα)).
Peak positions follow from Bragg's law for the DFT cell and can differ from measured ones.

```
TmUHg
1.0
0.0000 3.5825 3.5825
3.5825 0.0000 3.5825
3.5825 3.5825 0.0000
Tm U Hg
1 1 1
direct
0.0000 0.0000 0.0000
0.5000 0.5000 0.5000
0.2500 0.2500 0.2500
```

Peak list (10 most intense, 10° ≤ 2θ ≤ 90°, in order of rising 2θ)
two_theta  I/Imax
21.48  28
24.85  13
35.44  100
41.81  16
50.98  18
55.94  7
57.52  5
63.62  38
74.98  12
85.76  18

***

(6)
Structure and calculated powder XRD pattern of TaSnAu2 (a structure optimized by DFT (PBE); λ = 1.5418 Å (Cu Kα)).
Peak positions follow from Bragg's law for the DFT cell and can differ from measured ones.

```
TaSnAu2
1.0
0.0000 3.3718 3.3718
3.3718 0.0000 3.3718
3.3718 3.3718 0.0000
Ta Sn Au
1 1 2
direct
0.0000 0.0000 0.0000
0.7500 0.7500 0.7500
0.2500 0.2500 0.2500
0.5000 0.5000 0.5000
```

Peak list (9 most intense, 10° ≤ 2θ ≤ 90°, in order of rising 2θ)
two_theta  I/Imax
22.84  3
26.43  1
37.73  100
44.56  2
54.42  18
59.78  1
68.12  36
80.59  12
85.11  1